This entry pairs a crystal structure of LiCaGeN with its calculated powder XRD pattern. Radiation: a wavelength of 1.5418 Å. Structure: a structure optimized by DFT (PBE).

Cell and atoms:
```
data_LiCaGeN
_chemical_formula_sum 'Li2 Ca2 Ge2 N2'
_cell_length_a 3.544
_cell_length_b 3.544
_cell_length_c 10.212
_cell_angle_alpha 90.00
_cell_angle_beta 90.00
_cell_angle_gamma 90.00
_space_group_name_H-M_alt 'I 4 m m'
_space_group_IT_number 107
_space_group_name_Hall 'I 4 -2'
loop_
_atom_site_label
_atom_site_fract_x
_atom_site_fract_y
_atom_site_fract_z
Li1 0.000 0.000 0.000
Ca1 0.000 0.000 0.682
Ge1 0.000 0.000 0.373
N1 0.000 0.000 0.190
```

Largest 10 diffraction maxima, in order of rising 2θ, 2θ = 5–70°:
two_theta, Rel. int.
17.37, 34
26.62, 91
35.15, 21
35.83, 88
36.60, 100
51.07, 26
51.59, 37
58.97, 19
64.89, 37
66.39, 20

---

This entry pairs a crystal structure of TcOsPt with its calculated powder XRD pattern. Radiation: a wavelength of 1.5418 Å. Structure: a structure optimized by DFT (PBE).

Cell and atoms:
```
data_TcOsPt
_chemical_formula_sum 'Tc4 Os4 Pt4'
_cell_length_a 4.754
_cell_length_b 8.333
_cell_length_c 4.713
_cell_angle_alpha 90.00
_cell_angle_beta 108.59
_cell_angle_gamma 90.00
_space_group_name_H-M_alt 'C 1 2/c 1'
_space_group_IT_number 15
_space_group_name_Hall '-C 2yc'
loop_
_atom_site_label
_atom_site_fract_x
_atom_site_fract_y
_atom_site_fract_z
Tc1 0.000 0.089 0.250
Os1 0.000 0.240 0.750
Pt1 0.000 0.415 0.250
```

Largest 10 diffraction maxima, in order of rising 2θ, 2θ = 5–70°:
two_theta, Rel. int.
22.43, 6
29.31, 7
40.04, 100
40.39, 34
46.36, 44
47.30, 21
67.43, 7
67.86, 7
68.13, 14
68.64, 14

---

This entry pairs a crystal structure of CuAg5Au with its calculated powder XRD pattern. Radiation: a wavelength of 1.5418 Å. Structure: a structure optimized by DFT (PBE).

Cell and atoms:
```
data_CuAg5Au
_chemical_formula_sum 'Cu2 Ag10 Au2'
_cell_length_a 5.308
_cell_length_b 7.230
_cell_length_c 7.541
_cell_angle_alpha 90.00
_cell_angle_beta 90.00
_cell_angle_gamma 90.00
_space_group_name_H-M_alt 'I m m 2'
_space_group_IT_number 44
_space_group_name_Hall 'I 2 -2'
loop_
_atom_site_label
_atom_site_fract_x
_atom_site_fract_y
_atom_site_fract_z
Cu1 0.000 0.000 0.000
Ag1 0.000 0.183 0.683
Ag2 0.000 0.500 0.140
Ag3 0.244 0.000 0.326
Au1 0.000 0.500 0.489
```

Largest 10 diffraction maxima, in order of rising 2θ, 2θ = 5–70°:
two_theta, Rel. int.
20.46, 33
24.63, 69
32.22, 41
37.90, 100
38.03, 92
41.13, 34
41.61, 39
47.25, 30
48.95, 51
52.72, 26

---

This entry pairs a crystal structure of PmPr4S5 with its calculated powder XRD pattern. Radiation: a wavelength of 1.5418 Å. Structure: a structure optimized by DFT (PBE).

Cell and atoms:
```
data_PmPr4S5
_chemical_formula_sum 'Pm2 Pr8 S10'
_cell_length_a 4.091
_cell_length_b 5.783
_cell_length_c 20.474
_cell_angle_alpha 90.00
_cell_angle_beta 90.00
_cell_angle_gamma 90.00
_space_group_name_H-M_alt 'I m m m'
_space_group_IT_number 71
_space_group_name_Hall '-I 2 2'
loop_
_atom_site_label
_atom_site_fract_x
_atom_site_fract_y
_atom_site_fract_z
Pm1 0.000 0.000 0.000
Pr1 0.000 0.000 0.199
Pr2 0.000 0.000 0.400
S1 0.000 0.500 0.000
S2 0.000 0.500 0.200
S3 0.000 0.500 0.402
```

Largest 6 diffraction maxima, in order of rising 2θ, 2θ = 5–70°:
two_theta, Rel. int.
26.68, 73
30.91, 100
44.27, 73
52.45, 37
54.97, 25
64.40, 12

---

This entry pairs a crystal structure of Rb4AuClO with its calculated powder XRD pattern. Radiation: a wavelength of 1.5418 Å. Structure: a structure optimized by DFT (PBE).

Cell and atoms:
```
data_Rb4AuClO
_chemical_formula_sum 'Rb8 Au2 Cl2 O2'
_cell_length_a 5.534
_cell_length_b 5.534
_cell_length_c 17.232
_cell_angle_alpha 90.00
_cell_angle_beta 90.00
_cell_angle_gamma 90.00
_space_group_name_H-M_alt 'I 4 m m'
_space_group_IT_number 107
_space_group_name_Hall 'I 4 -2'
loop_
_atom_site_label
_atom_site_fract_x
_atom_site_fract_y
_atom_site_fract_z
Rb1 0.000 0.000 0.000
Rb2 0.000 0.000 0.314
Rb3 0.000 0.500 0.163
Au1 0.000 0.000 0.516
Cl1 0.000 0.000 0.798
O1 0.000 0.000 0.159
```

Largest 10 diffraction maxima, in order of rising 2θ, 2θ = 5–70°:
two_theta, Rel. int.
10.27, 32
16.83, 28
22.72, 28
24.99, 73
30.87, 100
31.14, 27
32.36, 66
45.52, 37
46.41, 23
56.78, 35

---

This entry pairs a crystal structure of NaSr6Pt with its calculated powder XRD pattern. Radiation: a wavelength of 1.5418 Å. Structure: a structure optimized by DFT (PBE).

Cell and atoms:
```
data_NaSr6Pt
_chemical_formula_sum 'Na4 Sr24 Pt4'
_cell_length_a 14.619
_cell_length_b 7.374
_cell_length_c 14.579
_cell_angle_alpha 90.00
_cell_angle_beta 102.06
_cell_angle_gamma 90.00
_space_group_name_H-M_alt 'C 1 2/c 1'
_space_group_IT_number 15
_space_group_name_Hall '-C 2yc'
loop_
_atom_site_label
_atom_site_fract_x
_atom_site_fract_y
_atom_site_fract_z
Na1 0.000 0.082 0.250
Sr1 0.075 0.417 0.892
Sr2 0.142 0.078 0.533
Sr3 0.216 0.412 0.176
Pt1 0.250 0.250 0.000
```

Largest 10 diffraction maxima, in order of rising 2θ, 2θ = 5–70°:
two_theta, Rel. int.
12.40, 90
14.32, 51
15.41, 24
25.45, 25
27.30, 61
27.37, 100
35.29, 26
35.39, 52
42.49, 57
45.98, 24

---

This entry pairs a crystal structure of TiNi3P with its calculated powder XRD pattern. Radiation: a wavelength of 1.5418 Å. Structure: a structure optimized by DFT (PBE).

Cell and atoms:
```
data_TiNi3P
_chemical_formula_sum 'Ti1 Ni3 P1'
_cell_length_a 4.129
_cell_length_b 4.129
_cell_length_c 4.129
_cell_angle_alpha 90.00
_cell_angle_beta 90.00
_cell_angle_gamma 90.00
_space_group_name_H-M_alt 'P m -3 m'
_space_group_IT_number 221
_space_group_name_Hall '-P 4 2 3'
loop_
_atom_site_label
_atom_site_fract_x
_atom_site_fract_y
_atom_site_fract_z
Ti1 0.000 0.000 0.000
Ni1 0.000 0.500 0.500
P1 0.500 0.500 0.500
```

Largest 7 diffraction maxima, in order of rising 2θ, 2θ = 5–70°:
two_theta, Rel. int.
21.52, 18
30.62, 1
37.74, 100
43.85, 79
49.35, 7
63.75, 47
68.13, 3

---

This entry pairs a crystal structure of Cs2ZnI6O with its calculated powder XRD pattern. Radiation: a wavelength of 1.5418 Å. Structure: a structure optimized by DFT (PBE).

Cell and atoms:
```
data_Cs2ZnI6O
_chemical_formula_sum 'Cs4 Zn2 I12 O2'
_cell_length_a 8.135
_cell_length_b 8.135
_cell_length_c 11.973
_cell_angle_alpha 90.00
_cell_angle_beta 90.00
_cell_angle_gamma 90.00
_space_group_name_H-M_alt 'I 4/m m m'
_space_group_IT_number 139
_space_group_name_Hall '-I 4 2'
loop_
_atom_site_label
_atom_site_fract_x
_atom_site_fract_y
_atom_site_fract_z
Cs1 0.000 0.500 0.250
Zn1 0.000 0.000 0.000
I1 0.000 0.000 0.210
I2 0.216 0.216 0.500
O1 0.000 0.000 0.500
```

Largest 10 diffraction maxima, in order of rising 2θ, 2θ = 5–70°:
two_theta, Rel. int.
25.59, 14
26.49, 100
29.85, 25
31.10, 47
33.90, 13
43.64, 29
44.55, 14
45.34, 10
52.58, 20
54.55, 12

---

This entry pairs a crystal structure of Hf3Ti4P4 with its calculated powder XRD pattern. Radiation: a wavelength of 1.5418 Å. Structure: a structure optimized by DFT (PBE).

Cell and atoms:
```
data_Hf3Ti4P4
_chemical_formula_sum 'Hf6 Ti8 P8'
_cell_length_a 3.448
_cell_length_b 7.463
_cell_length_c 13.857
_cell_angle_alpha 90.00
_cell_angle_beta 90.00
_cell_angle_gamma 90.00
_space_group_name_H-M_alt 'I m m m'
_space_group_IT_number 71
_space_group_name_Hall '-I 2 2'
loop_
_atom_site_label
_atom_site_fract_x
_atom_site_fract_y
_atom_site_fract_z
Hf1 0.000 0.000 0.000
Hf2 0.000 0.500 0.110
Ti1 0.000 0.311 0.329
P1 0.000 0.000 0.246
P2 0.000 0.203 0.500
```

Largest 10 diffraction maxima, in order of rising 2θ, 2θ = 5–70°:
two_theta, Rel. int.
22.64, 31
23.84, 35
26.64, 29
34.52, 52
36.05, 100
38.77, 95
41.22, 33
52.49, 22
53.12, 18
64.91, 17

---

This entry pairs a crystal structure of TiVI4 with its calculated powder XRD pattern. Radiation: a wavelength of 1.5418 Å. Structure: a structure optimized by DFT (PBE).

Cell and atoms:
```
data_TiVI4
_chemical_formula_sum 'Ti1 V1 I4'
_cell_length_a 7.247
_cell_length_b 4.063
_cell_length_c 7.376
_cell_angle_alpha 90.00
_cell_angle_beta 90.93
_cell_angle_gamma 90.00
_space_group_name_H-M_alt 'P 1 2/m 1'
_space_group_IT_number 10
_space_group_name_Hall '-P 2y'
loop_
_atom_site_label
_atom_site_fract_x
_atom_site_fract_y
_atom_site_fract_z
Ti1 0.000 0.000 0.000
V1 0.500 0.500 0.000
I1 0.170 0.500 0.780
I2 0.338 0.000 0.214
```

Largest 10 diffraction maxima, in order of rising 2θ, 2θ = 5–70°:
two_theta, Rel. int.
12.00, 69
24.13, 42
27.25, 34
27.61, 52
27.84, 100
28.02, 63
34.98, 92
43.59, 46
44.18, 22
45.05, 42

---

This entry pairs a crystal structure of Ac2LaTbPm with its calculated powder XRD pattern. Radiation: a wavelength of 1.5418 Å. Structure: a structure optimized by DFT (PBE).

Cell and atoms:
```
data_Ac2LaTbPm
_chemical_formula_sum 'Ac4 La2 Tb2 Pm2'
_cell_length_a 6.531
_cell_length_b 8.908
_cell_length_c 6.866
_cell_angle_alpha 90.00
_cell_angle_beta 90.00
_cell_angle_gamma 90.00
_space_group_name_H-M_alt 'P m m a'
_space_group_IT_number 51
_space_group_name_Hall '-P 2a 2a'
loop_
_atom_site_label
_atom_site_fract_x
_atom_site_fract_y
_atom_site_fract_z
Ac1 0.250 0.205 0.212
La1 0.250 0.500 0.919
Tb1 0.000 0.500 0.500
Pm1 0.250 0.000 0.683
```

Largest 10 diffraction maxima, in order of rising 2θ, 2θ = 5–70°:
two_theta, Rel. int.
18.75, 20
27.31, 26
27.50, 100
27.85, 29
31.10, 18
31.97, 20
32.94, 22
35.71, 29
38.03, 22
48.39, 22

---

This entry pairs a crystal structure of Sm4DyS5 with its calculated powder XRD pattern. Radiation: a wavelength of 1.5418 Å. Structure: a structure optimized by DFT (PBE).

Cell and atoms:
```
data_Sm4DyS5
_chemical_formula_sum 'Sm8 Dy2 S10'
_cell_length_a 3.987
_cell_length_b 5.637
_cell_length_c 19.969
_cell_angle_alpha 90.00
_cell_angle_beta 90.00
_cell_angle_gamma 90.00
_space_group_name_H-M_alt 'I m m m'
_space_group_IT_number 71
_space_group_name_Hall '-I 2 2'
loop_
_atom_site_label
_atom_site_fract_x
_atom_site_fract_y
_atom_site_fract_z
Sm1 0.000 0.000 0.100
Sm2 0.000 0.000 0.301
Dy1 0.000 0.000 0.500
S1 0.000 0.500 0.097
S2 0.000 0.500 0.299
S3 0.000 0.500 0.500
```

Largest 6 diffraction maxima, in order of rising 2θ, 2θ = 5–70°:
two_theta, Rel. int.
27.38, 78
31.72, 100
45.48, 72
53.91, 38
56.51, 25
66.27, 12

---

This entry pairs a crystal structure of Dy2Y2Tm15 with its calculated powder XRD pattern. Radiation: a wavelength of 1.5418 Å. Structure: a structure optimized by DFT (PBE).

Cell and atoms:
```
data_Dy2Y2Tm15
_chemical_formula_sum 'Dy6 Y6 Tm45'
_cell_length_a 11.0499
_cell_length_b 11.0499
_cell_length_c 17.3838
_cell_angle_alpha 90.00
_cell_angle_beta 90.00
_cell_angle_gamma 120.00
_space_group_name_H-M_alt 'R -3 m'
_space_group_IT_number 166
_space_group_name_Hall '-R 3 2"'
loop_
_atom_site_label
_atom_site_fract_x
_atom_site_fract_y
_atom_site_fract_z
Dy1 0.0000 0.0000 0.1024
Y1 0.0000 0.0000 0.3241
Tm1 0.0000 0.3017 0.0000
Tm2 0.0000 0.5000 0.5000
Tm3 0.0100 0.5050 0.1380
```

Largest 10 diffraction maxima, in order of rising 2θ, 2θ = 5–70°:
two_theta, Rel. int.
16.04, 27
27.73, 31
27.97, 25
30.86, 31
31.82, 54
32.03, 91
32.41, 53
34.97, 28
36.02, 100
57.81, 28

---

This entry pairs a crystal structure of LiReO5 with its calculated powder XRD pattern. Radiation: a wavelength of 1.5418 Å. Structure: a structure optimized by DFT (PBE).

Cell and atoms:
```
data_LiReO5
_chemical_formula_sum 'Li2 Re2 O10'
_cell_length_a 3.812
_cell_length_b 6.605
_cell_length_c 7.617
_cell_angle_alpha 90.00
_cell_angle_beta 90.00
_cell_angle_gamma 90.00
_space_group_name_H-M_alt 'I m m m'
_space_group_IT_number 71
_space_group_name_Hall '-I 2 2'
loop_
_atom_site_label
_atom_site_fract_x
_atom_site_fract_y
_atom_site_fract_z
Li1 0.000 0.000 0.000
Re1 0.000 0.000 0.500
O1 0.000 0.000 0.257
O2 0.000 0.283 0.500
O3 0.000 0.500 0.000
```

Largest 10 diffraction maxima, in order of rising 2θ, 2θ = 5–70°:
two_theta, Rel. int.
17.77, 100
23.36, 31
26.14, 43
27.00, 63
36.00, 27
37.95, 29
42.77, 25
47.72, 26
51.31, 19
55.70, 27